No. 1
OsCl4: theoretical PXRD pattern (Cu Kα X-rays), based on a crystal structure in Alexandria, relaxed with PBE.

Structural model:
```
data_OsCl4
_chemical_formula_sum 'Os4 Cl16'
_symmetry_space_group_name_H-M 'C 1 2/c 1'
_symmetry_Int_Tables_number 15
_cell_length_a 7.446
_cell_length_b 14.869
_cell_length_c 5.978
_cell_angle_alpha 90.00
_cell_angle_beta 120.12
_cell_angle_gamma 90.00
loop_
_symmetry_equiv_pos_as_xyz
'x,y,z'
'-x,-y,-z'
'-x,y,-z+1/2'
'x,-y,z+1/2'
'x+1/2,y+1/2,z'
'-x+1/2,-y+1/2,-z'
'-x+1/2,y+1/2,-z+1/2'
'x+1/2,-y+1/2,z+1/2'
loop_
_atom_site_label
_atom_site_fract_x
_atom_site_fract_y
_atom_site_fract_z
Os1 0.000 0.060 0.250
Cl1 0.207 0.058 0.710
Cl2 0.215 0.165 0.232
```

Principal peaks in the range 2θ from 10° to 90°, in order of rising 2θ:
- 2θ 11.9, I 498, (0 2 0)
- 2θ 15.0, I 1000, (1 1 0)
- 2θ 16.8, I 110, (1 1 -1)
- 2θ 20.9, I 244, (0 2 1)
- 2θ 23.9, I 238, (1 3 -1)
- 2θ 30.7, I 110, (1 1 -2)
- 2θ 34.3, I 323, (2 4 -1)
- 2θ 34.7, I 164, (0 0 2)
- 2θ 40.8, I 115, (3 3 -1)
- 2θ 46.9, I 110, (2 4 1)


No. 2
Dy6AuSe4: theoretical PXRD pattern (Cu Kα X-rays), based on a crystal structure in Alexandria, relaxed with PBE.

Structural model:
```
data_Dy6AuSe4
_chemical_formula_sum 'Dy24 Au4 Se16'
_symmetry_space_group_name_H-M 'C m c m'
_symmetry_Int_Tables_number 63
_symmetry_space_group_name_Hall '-C 2c 2'
_cell_length_a 4.009
_cell_length_b 13.342
_cell_length_c 20.792
_cell_angle_alpha 90.00
_cell_angle_beta 90.00
_cell_angle_gamma 90.00
loop_
_atom_site_label
_atom_site_fract_x
_atom_site_fract_y
_atom_site_fract_z
Dy1 0.000 0.000 0.000
Dy2 0.000 0.172 0.250
Dy3 0.000 0.273 0.591
Dy4 0.000 0.443 0.167
Au1 0.000 0.165 0.750
Se1 0.000 0.084 0.125
Se2 0.000 0.359 0.038
```

Principal peaks in the range 2θ from 10° to 90°, in order of rising 2θ:
- 2θ 28.9, I 208, (1 1 4)
- 2θ 29.0, I 773, (0 2 6)
- 2θ 30.3, I 470, (1 3 1)
- 2θ 31.2, I 1000, (1 3 2)
- 2θ 32.7, I 330, (1 3 3)
- 2θ 42.0, I 331, (1 1 8)
- 2θ 44.3, I 534, (0 6 4)
- 2θ 45.2, I 330, (2 0 0)
- 2θ 46.3, I 213, (1 5 5)
- 2θ 54.7, I 268, (2 2 6)


No. 3
Pr4Y5Th: theoretical PXRD pattern (Cu Kα X-rays), based on a crystal structure in Alexandria, relaxed with PBE.

Structural model:
```
data_Pr4Y5Th
_chemical_formula_sum 'Pr8 Y10 Th2'
_symmetry_space_group_name_H-M 'C 1 2/m 1'
_symmetry_Int_Tables_number 12
_cell_length_a 11.766
_cell_length_b 5.585
_cell_length_c 10.613
_cell_angle_alpha 90.00
_cell_angle_beta 90.30
_cell_angle_gamma 90.00
loop_
_symmetry_equiv_pos_as_xyz
'x,y,z'
'-x,-y,-z'
'-x,y,-z'
'x,-y,z'
'x+1/2,y+1/2,z'
'-x+1/2,-y+1/2,-z'
'-x+1/2,y+1/2,-z'
'x+1/2,-y+1/2,z'
loop_
_atom_site_label
_atom_site_fract_x
_atom_site_fract_y
_atom_site_fract_z
Pr1 0.057 0.000 0.251
Pr2 0.162 0.500 0.752
Y1 0.000 0.500 0.000
Y2 0.195 0.000 0.567
Y3 0.196 0.000 0.931
Th1 0.000 0.500 0.500
```

Principal peaks in the range 2θ from 10° to 90°, in order of rising 2θ:
- 2θ 19.5, I 362, (1 1 -1)
- 2θ 24.3, I 474, (1 1 2)
- 2θ 29.0, I 356, (3 1 -1)
- 2θ 30.9, I 1000, (1 1 3)
- 2θ 31.6, I 451, (4 0 1)
- 2θ 32.0, I 751, (0 2 0)
- 2θ 32.5, I 817, (3 1 -2)
- 2θ 32.7, I 803, (3 1 2)
- 2θ 33.8, I 292, (0 0 4)
- 2θ 63.6, I 276, (4 2 5)


No. 4
Cs3Tl4Pd: theoretical PXRD pattern (Cu Kα X-rays), based on a crystal structure in Alexandria, relaxed with PBE.

Structural model:
```
data_Cs3Tl4Pd
_chemical_formula_sum 'Cs6 Tl8 Pd2'
_symmetry_space_group_name_H-M 'I m m 2'
_symmetry_Int_Tables_number 44
_cell_length_a 7.008
_cell_length_b 8.247
_cell_length_c 11.421
_cell_angle_alpha 90.00
_cell_angle_beta 90.00
_cell_angle_gamma 90.00
loop_
_symmetry_equiv_pos_as_xyz
'x,y,z'
'-x,-y,z'
'-x,y,z'
'x,-y,z'
'x+1/2,y+1/2,z+1/2'
'-x+1/2,-y+1/2,z+1/2'
'-x+1/2,y+1/2,z+1/2'
'x+1/2,-y+1/2,z+1/2'
loop_
_atom_site_label
_atom_site_fract_x
_atom_site_fract_y
_atom_site_fract_z
Cs1 0.000 0.000 0.000
Cs2 0.000 0.243 0.644
Tl1 0.000 0.306 0.307
Tl2 0.235 0.500 0.902
Pd1 0.000 0.500 0.104
```

Principal peaks in the range 2θ from 10° to 90°, in order of rising 2θ:
- 2θ 13.2, I 308, (0 1 1)
- 2θ 26.3, I 587, (1 2 1)
- 2θ 26.7, I 1000, (1 0 3)
- 2θ 28.8, I 608, (2 1 1)
- 2θ 29.9, I 260, (2 0 2)
- 2θ 33.5, I 542, (2 2 0)
- 2θ 34.5, I 303, (1 2 3)
- 2θ 37.2, I 251, (2 2 2)
- 2θ 48.4, I 216, (2 3 3)
- 2θ 54.0, I 214, (2 4 2)


> Number 1 is which compound?

OsCl4